1.
For Sr2UO5, DFT lattice parameters and positions (PBE) gives the theoretical PXRD pattern in this record (Cu Kα).
No peak broadening, texture or thermal motion is included.

Most intense lines, 2θ from 15° to 90°, in order of rising 2θ:
(hkl), d (Å), 2θ/deg, intensity
0 0 2, 5.702, 15.54, 33
0 1 1, 5.117, 17.33, 39
2 1 -1, 3.324, 26.82, 100
0 1 3, 3.167, 28.18, 83
0 2 0, 2.863, 31.24, 22
2 0 2, 2.815, 31.79, 23
2 0 -4, 2.750, 32.56, 22
2 2 2, 2.007, 45.17, 28
4 1 1, 1.730, 52.92, 28
2 1 5, 1.663, 55.24, 22

Structure:
```
data_Sr2UO5
_chemical_formula_sum 'Sr8 U4 O20'
_space_group_name_H-M_alt 'P 1 21/c 1'
_space_group_IT_number 14
_cell_length_a 8.166
_cell_length_b 5.726
_cell_length_c 12.026
_cell_angle_alpha 90.00
_cell_angle_beta 108.50
_cell_angle_gamma 90.00
loop_
_space_group_symop_operation_xyz
'x,y,z'
'-x,-y,-z'
'-x,y+1/2,-z+1/2'
'x,-y+1/2,z+1/2'
loop_
_atom_site_label
_atom_site_type_symbol
_atom_site_fract_x
_atom_site_fract_y
_atom_site_fract_z
Sr1 Sr 0.156 0.066 0.319
Sr2 Sr 0.341 0.000 0.639
U1 U 0.000 0.000 0.000
U2 U 0.500 0.000 0.000
O1 O 0.019 0.244 0.622
O2 O 0.108 0.711 0.641
O3 O 0.251 0.152 0.999
O4 O 0.395 0.702 0.925
O5 O 0.446 0.170 0.836
```

---

2.
For Li3H4IN2, DFT lattice parameters and positions (PBE) gives the theoretical PXRD pattern in this record (Cu Kα).
No peak broadening, texture or thermal motion is included.

Most intense lines, 2θ from 15° to 90°, in order of rising 2θ:
(hkl), d (Å), 2θ/deg, intensity
1 1 1, 5.574, 15.90, 45
2 0 0, 3.665, 24.29, 41
1 3 0, 3.609, 24.67, 81
1 1 3, 3.352, 26.60, 100
0 2 3, 3.337, 26.71, 42
2 0 2, 3.117, 28.64, 43
1 3 2, 3.083, 28.96, 67
1 1 5, 2.221, 40.61, 29
3 1 3, 2.050, 44.18, 28
2 4 3, 2.034, 44.56, 29

Structure:
```
data_Li3H4IN2
_chemical_formula_sum 'Li24 H32 I8 N16'
_space_group_name_H-M_alt 'C m c 21'
_space_group_IT_number 36
_cell_length_a 7.329
_cell_length_b 12.439
_cell_length_c 11.864
_cell_angle_alpha 90.00
_cell_angle_beta 90.00
_cell_angle_gamma 90.00
loop_
_space_group_symop_operation_xyz
'x,y,z'
'-x,-y,z+1/2'
'-x,y,z'
'x,-y,z+1/2'
'x+1/2,y+1/2,z'
'-x+1/2,-y+1/2,z+1/2'
'-x+1/2,y+1/2,z'
'x+1/2,-y+1/2,z+1/2'
loop_
_atom_site_label
_atom_site_type_symbol
_atom_site_fract_x
_atom_site_fract_y
_atom_site_fract_z
Li1 Li 0.000 0.097 0.000
Li2 Li 0.000 0.116 0.798
Li3 Li 0.158 0.057 0.257
Li4 Li 0.220 0.383 0.914
H1 H 0.000 0.145 0.449
H2 H 0.000 0.235 0.350
H3 H 0.109 0.059 0.613
H4 H 0.174 0.399 0.357
H5 H 0.236 0.453 0.470
I1 I 0.000 0.322 0.087
I2 I 0.000 0.333 0.717
N1 N 0.000 0.014 0.640
N2 N 0.000 0.154 0.362
N3 N 0.223 0.053 0.887
```

---

3.
For Rb2Sb4O11, DFT lattice parameters and positions (PBE) gives the theoretical PXRD pattern in this record (Cu Kα).
No peak broadening, texture or thermal motion is included.

Most intense lines, 2θ from 15° to 90°, in order of rising 2θ:
(hkl), d (Å), 2θ/deg, intensity
2 2 0, 3.591, 24.80, 100
5 1 0, 3.517, 25.32, 94
0 2 1, 3.409, 26.14, 100
1 1 -2, 3.303, 26.99, 50
2 2 -1, 3.268, 27.29, 79
3 1 -2, 3.060, 29.19, 91
4 0 2, 2.813, 31.82, 64
6 2 0, 2.504, 35.86, 57
6 2 2, 1.999, 45.37, 56
0 4 0, 1.927, 47.16, 60

Structure:
```
data_Rb2Sb4O11
_chemical_formula_sum 'Rb8 Sb16 O44'
_space_group_name_H-M_alt 'C 1 2/m 1'
_space_group_IT_number 12
_cell_length_a 19.855
_cell_length_b 7.708
_cell_length_c 7.342
_cell_angle_alpha 90.00
_cell_angle_beta 95.48
_cell_angle_gamma 90.00
loop_
_space_group_symop_operation_xyz
'x,y,z'
'-x,-y,-z'
'-x,y,-z'
'x,-y,z'
'x+1/2,y+1/2,z'
'-x+1/2,-y+1/2,-z'
'-x+1/2,y+1/2,-z'
'x+1/2,-y+1/2,z'
loop_
_atom_site_label
_atom_site_type_symbol
_atom_site_fract_x
_atom_site_fract_y
_atom_site_fract_z
Rb1 Rb 0.008 0.000 0.255
Rb2 Rb 0.235 0.000 0.006
Sb1 Sb 0.072 0.500 0.098
Sb2 Sb 0.076 0.500 0.617
Sb3 Sb 0.174 0.243 0.437
O1 O 0.000 0.329 0.000
O2 O 0.023 0.500 0.346
O3 O 0.089 0.246 0.571
O4 O 0.118 0.500 0.869
O5 O 0.129 0.302 0.190
O6 O 0.160 0.000 0.358
O7 O 0.166 0.500 0.510
O8 O 0.237 0.213 0.667
```

---

4.
For CePr3O8, DFT lattice parameters and positions (PBE) gives the theoretical PXRD pattern in this record (Cu Kα).
No peak broadening, texture or thermal motion is included.

Most intense lines, 2θ from 15° to 90°, in order of rising 2θ:
(hkl), d (Å), 2θ/deg, intensity
1 0 4, 3.271, 27.26, 100
0 0 12, 3.259, 27.37, 33
0 1 8, 2.830, 31.61, 39
1 1 0, 2.004, 45.25, 37
1 0 16, 1.998, 45.38, 36
0 2 4, 1.708, 53.67, 45
0 1 20, 1.704, 53.81, 15
0 2 16, 1.415, 66.02, 11
2 1 4, 1.300, 72.72, 12
3 0 0, 1.156, 83.62, 17

Structure:
```
data_CePr3O8
_chemical_formula_sum 'Ce3 Pr9 O24'
_space_group_name_H-M_alt 'R -3 m'
_space_group_IT_number 166
_space_group_name_Hall '-R 3 2"'
_cell_length_a 4.0082
_cell_length_b 4.0082
_cell_length_c 39.1051
_cell_angle_alpha 90.00
_cell_angle_beta 90.00
_cell_angle_gamma 120.00
loop_
_atom_site_label
_atom_site_type_symbol
_atom_site_fract_x
_atom_site_fract_y
_atom_site_fract_z
Ce1 Ce 0.0000 0.0000 0.0000
Pr1 Pr 0.0000 0.0000 0.2520
Pr2 Pr 0.0000 0.0000 0.5000
O1 O 0.0000 0.0000 0.0584
O2 O 0.0000 0.0000 0.1880
O3 O 0.0000 0.0000 0.3158
O4 O 0.0000 0.0000 0.4366
```

---

5.
For Sr7CaIr2O12, DFT lattice parameters and positions (PBE) gives the theoretical PXRD pattern in this record (Cu Kα).
No peak broadening, texture or thermal motion is included.

Most intense lines, 2θ from 15° to 90°, in order of rising 2θ:
(hkl), d (Å), 2θ/deg, intensity
1 1 0, 4.928, 18.00, 37
0 1 2, 4.845, 18.31, 50
1 1 3, 3.069, 29.09, 46
3 0 0, 2.845, 31.45, 100
0 2 4, 2.423, 37.11, 30
3 1 2, 2.196, 41.10, 20
2 1 4, 2.174, 41.54, 39
2 2 3, 2.087, 43.37, 29
3 3 0, 1.643, 55.99, 17
3 2 4, 1.630, 56.45, 25

Structure:
```
data_Sr7CaIr2O12
_chemical_formula_sum 'Sr21 Ca3 Ir6 O36'
_space_group_name_H-M_alt 'R 3 2'
_space_group_IT_number 155
_space_group_name_Hall 'R 3 2"'
_cell_length_a 9.8550
_cell_length_b 9.8550
_cell_length_c 11.7708
_cell_angle_alpha 90.00
_cell_angle_beta 90.00
_cell_angle_gamma 120.00
loop_
_atom_site_label
_atom_site_type_symbol
_atom_site_fract_x
_atom_site_fract_y
_atom_site_fract_z
Sr1 Sr 0.0000 0.0000 0.0000
Sr2 Sr 0.0000 0.3655 0.0000
Sr3 Sr 0.0000 0.6376 0.5000
Ca1 Ca 0.0000 0.0000 0.5000
Ir1 Ir 0.0000 0.0000 0.2534
O1 O 0.0258 0.8448 0.6432
O2 O 0.0268 0.1842 0.1514
```